# 1
For SeS2BrO8, a PBE-relaxed structure gives the theoretical PXRD pattern in this record (λ = 1.5418 Å (Cu Kα)).
Peak positions follow from Bragg's law for the DFT cell and can differ from measured ones.

Most intense lines, 2θ = 10–90°, by angle:
- 3.712 Å, 23.97 deg, I = 59
- 3.623 Å, 24.57 deg, I = 100
- 2.847 Å, 31.43 deg, I = 34
- 2.643 Å, 33.92 deg, I = 19
- 2.396 Å, 37.53 deg, I = 21
- 2.293 Å, 39.30 deg, I = 19

Structure:
```
SeS2BrO8
1.0
4.0683 -2.6430 0.0000
4.0683 2.6430 0.0000
-3.9501 0.0000 9.3374
Se S Br O
1 2 1 8
Cartesian
0.0000 0.0000 0.0000
-1.0658 0.0000 7.7198
5.2524 0.0000 1.6177
2.0933 0.0000 4.6687
-1.7679 0.0000 6.4816
-0.1560 1.2205 7.8543
-1.9454 0.0000 8.9754
4.3425 1.2205 1.4831
-0.1560 -1.2205 7.8543
6.1319 0.0000 0.3620
4.3425 -1.2205 1.4831
5.9544 0.0000 2.8558
```

---

# 2
For Sb4BrO6, a PBE-relaxed structure gives the theoretical PXRD pattern in this record (λ = 1.5418 Å (Cu Kα)).
Peak positions follow from Bragg's law for the DFT cell and can differ from measured ones.

Most intense lines, 2θ = 10–90°, by angle:
- 4.424 Å, 20.07 deg, I = 27
- 3.384 Å, 26.34 deg, I = 100
- 3.226 Å, 27.65 deg, I = 44
- 2.954 Å, 30.25 deg, I = 29
- 2.726 Å, 32.85 deg, I = 33
- 2.072 Å, 43.68 deg, I = 33

Structure:
```
Sb4BrO6
1.0
9.8261 -2.0720 0.0000
9.8261 2.0720 0.0000
-4.5891 0.0000 10.8477
Sb Br O
8 2 12
Cartesian
-1.1412 0.0000 2.9119
2.4239 0.0000 3.4519
0.7039 0.0000 9.1280
8.1497 0.0000 0.2746
6.9134 0.0000 10.5731
14.3592 0.0000 1.7197
12.6392 0.0000 7.3958
16.2043 0.0000 7.9357
4.6266 0.0000 5.4464
10.4365 0.0000 5.4013
-2.8229 0.0000 9.8762
0.7847 0.0000 2.3284
3.7968 0.0000 1.9736
2.3734 0.0000 7.8273
6.1413 0.0000 0.0900
8.3979 0.0000 2.3079
6.6652 0.0000 8.5398
8.9218 0.0000 10.7577
12.6897 0.0000 3.0204
11.2663 0.0000 8.8740
14.2784 0.0000 8.5193
17.8860 0.0000 0.9715
```

---

# 3
For Sb4Br2O5, a PBE-relaxed structure gives the theoretical PXRD pattern in this record (λ = 1.5418 Å (Cu Kα)).
Peak positions follow from Bragg's law for the DFT cell and can differ from measured ones.

Most intense lines, 2θ = 10–90°, by angle:
- 3.884 Å, 22.90 deg, I = 27
- 3.441 Å, 25.89 deg, I = 100
- 3.197 Å, 27.91 deg, I = 55
- 2.693 Å, 33.27 deg, I = 44
- 2.280 Å, 39.53 deg, I = 18
- 2.100 Å, 43.08 deg, I = 26

Structure:
```
Sb4Br2O5
1.0
6.7214 0.0000 0.0000
0.0000 5.2464 0.0000
-1.4538 0.0000 13.7493
Sb Br O
8 4 10
Cartesian
1.0939 1.1659 0.6793
0.3670 1.4573 7.5540
0.8631 3.1720 4.0715
0.1362 4.6975 10.9461
5.1314 0.5489 2.8032
4.4046 2.0743 9.6778
4.9006 3.7891 6.1953
4.1737 4.0804 13.0700
2.7495 1.1044 5.2482
2.0227 1.5188 12.1228
3.2449 3.7276 1.6264
2.5181 4.1419 8.5011
-0.7269 0.0000 6.8746
0.0000 2.6232 0.0000
-0.8797 0.0403 12.6282
-0.1528 2.5829 5.7535
-0.5559 0.9129 9.7566
0.1710 1.7102 2.8820
5.0966 3.5361 10.8673
5.8235 4.3334 3.9926
5.4204 2.6635 7.9958
6.1473 5.2061 1.1211
```

---

# 4
For Sb4Br3O4, a PBE-relaxed structure gives the theoretical PXRD pattern in this record (λ = 1.5418 Å (Cu Kα)).
Peak positions follow from Bragg's law for the DFT cell and can differ from measured ones.

Most intense lines, 2θ = 10–90°, by angle:
- 3.890 Å, 22.86 deg, I = 41
- 2.785 Å, 32.14 deg, I = 35
- 2.776 Å, 32.25 deg, I = 28
- 2.688 Å, 33.33 deg, I = 100
- 2.301 Å, 39.15 deg, I = 24
- 1.774 Å, 51.52 deg, I = 27

Structure:
```
Sb4Br3O4
1.0
-1.7005 4.6023 7.2780
1.7005 -4.6023 7.2780
1.7005 4.6023 -7.2780
Sb Br O
4 3 4
Cartesian
0.0000 0.0000 2.6883
1.7005 2.4016 0.0000
0.0000 2.2006 7.2780
0.0000 0.0000 11.8677
0.0000 0.0000 0.0000
1.7005 0.0000 5.5193
0.0000 4.6023 1.7587
1.7005 1.3897 -1.9832
1.7005 1.3897 1.9832
0.0000 3.2126 5.2948
0.0000 3.2126 9.2612
```

---

# 5
For Tl2SbBr3O, a PBE-relaxed structure gives the theoretical PXRD pattern in this record (λ = 1.5418 Å (Cu Kα)).
Peak positions follow from Bragg's law for the DFT cell and can differ from measured ones.

Most intense lines, 2θ = 10–90°, by angle:
- 3.439 Å, 25.91 deg, I = 47
- 3.409 Å, 26.14 deg, I = 100
- 2.995 Å, 29.83 deg, I = 53
- 2.920 Å, 30.62 deg, I = 60
- 2.716 Å, 32.98 deg, I = 47
- 2.250 Å, 40.08 deg, I = 52

Structure:
```
Tl2SbBr3O
1.0
-2.0998 2.9196 8.9856
2.0998 -2.9196 8.9856
2.0998 2.9196 -8.9856
Tl Sb Br O
2 1 3 1
Cartesian
0.0000 0.0000 2.6939
0.0000 0.0000 15.2774
0.0000 0.0000 8.9856
2.0998 0.0000 0.0000
0.0000 0.0000 5.9841
0.0000 0.0000 11.9872
0.0000 2.9196 0.0000
```

---

# 6
For ScBr3O7, a PBE-relaxed structure gives the theoretical PXRD pattern in this record (λ = 1.5418 Å (Cu Kα)).
Peak positions follow from Bragg's law for the DFT cell and can differ from measured ones.

Most intense lines, 2θ = 10–90°, by angle:
- 4.890 Å, 18.14 deg, I = 47
- 3.260 Å, 27.35 deg, I = 100
- 3.223 Å, 27.68 deg, I = 63
- 3.028 Å, 29.50 deg, I = 43
- 2.984 Å, 29.94 deg, I = 64
- 2.638 Å, 33.98 deg, I = 38

Structure:
```
ScBr3O7
1.0
6.4470 0.0000 0.0000
0.0000 9.7809 0.0000
-6.3103 0.0000 7.2475
Sc Br O
2 6 14
Cartesian
-1.5776 1.2269 1.8119
-4.7328 8.5541 5.4356
1.4696 1.6225 0.1399
-1.6856 8.1585 3.7637
-1.5092 1.9776 5.4356
1.6459 7.8033 1.8119
1.8223 1.6225 3.4839
-1.3329 8.1585 7.1076
-4.7328 0.8712 5.4356
-1.5776 8.9097 1.8119
-4.1873 4.8751 5.7244
-1.0321 4.9058 2.1006
-2.3024 1.8173 3.6426
0.8527 7.9636 0.0189
0.3427 1.6994 2.4772
-2.8125 8.0815 6.1009
2.9492 1.6994 1.1466
-0.2060 8.0815 4.7703
-0.7161 1.8173 7.2287
2.4391 7.9636 3.6049
1.1688 4.8751 5.1469
4.3240 4.9058 1.5231
```

---

# 7
For ScBr3O7, a PBE-relaxed structure gives the theoretical PXRD pattern in this record (λ = 1.5418 Å (Cu Kα)).
Peak positions follow from Bragg's law for the DFT cell and can differ from measured ones.

Most intense lines, 2θ = 10–90°, by angle:
- 4.777 Å, 18.57 deg, I = 19
- 4.669 Å, 19.01 deg, I = 100
- 3.576 Å, 24.90 deg, I = 27
- 3.080 Å, 28.99 deg, I = 91
- 2.895 Å, 30.88 deg, I = 51
- 2.780 Å, 32.20 deg, I = 41

Structure:
```
ScBr3O7
1.0
5.5748 0.0000 0.0000
0.0000 9.3390 0.0000
-5.0117 0.0000 7.6394
Sc Br O
2 6 14
Cartesian
-1.2529 1.1718 1.9098
-3.7588 8.1672 5.7295
-3.5645 2.4875 7.4245
-1.0586 6.8514 3.6048
-0.9713 1.9469 5.7295
1.5345 7.3921 1.9098
1.6218 2.4875 4.0346
4.1276 6.8514 0.2149
-3.7588 0.6124 5.7295
-1.2529 8.7265 1.9098
0.5955 1.4920 0.8445
-1.9103 7.8470 4.6642
1.4176 3.9890 0.4369
-1.0883 5.3500 4.2566
-0.1630 1.9222 3.7782
-2.6688 7.4168 7.5979
3.2320 1.9222 0.0415
0.7261 7.4168 3.8611
1.6514 3.9890 3.3828
-0.8544 5.3500 7.2025
2.4735 1.4920 2.9752
-0.0324 7.8470 6.7949
```